GdB6: simulated PXRD pattern (Cu Kα (λ = 1.5418 Å)), based on a DFT-relaxed cell (GGA-PBE, Alexandria).
Neutral-atom scattering factors, no anomalous dispersion.

Structural model:
Cell: 4.1123 4.1123 4.1123 Å, 90.00 90.00 90.00°
Space group Pm-3m (No. 221)
Inequivalent atoms, fractional coordinates:
1 Gd 0.0000 0.0000 0.0000 x1
2 B 0.1991 0.5000 0.5000 x6

Principal peaks in the range 10 to 80 degrees two-theta, low angle first:
Position (°2θ)  I (rel.)  (hkl)
21.61  684  1 0 0
30.75  1000  1 1 0
37.89  421  1 1 1
44.04  214  2 0 0
49.57  501  2 1 0
54.67  282  2 1 1
64.04  102  2 2 0
68.44  278  2 2 1
72.71  198  3 1 0
76.89  130  3 1 1

Ba2ScGe3Pt4: simulated PXRD pattern (Cu Kα (λ = 1.5418 Å)), based on a DFT-relaxed cell (GGA-PBE, Alexandria).
Neutral-atom scattering factors, no anomalous dispersion.

Structural model:
Cell: 4.4987 4.4987 10.8151 Å, 90.00 90.00 90.00°
Space group P-4m2 (No. 115)
Inequivalent atoms, fractional coordinates:
1 Ba 0.0000 0.5000 0.2419 x2
2 Sc 0.0000 0.0000 0.5000 x1
3 Ge 0.0000 0.5000 0.8820 x2
4 Ge 0.5000 0.5000 0.5000 x1
5 Pt 0.0000 0.0000 0.0000 x1
6 Pt 0.0000 0.5000 0.6380 x2
7 Pt 0.5000 0.5000 0.0000 x1

Principal peaks in the range 10 to 80 degrees two-theta, low angle first:
Position (°2θ)  I (rel.)  (hkl)
24.70  158  0 0 3
25.76  178  1 0 2
29.26  293  1 1 1
31.81  541  1 0 3
32.66  1000  1 1 2
40.09  729  2 0 0
43.95  384  1 1 4
46.59  269  1 0 5
52.06  269  2 1 3
57.98  248  2 2 0
63.11  218  2 1 5
68.16  239  3 1 2

Hf2Cd2N: simulated PXRD pattern (Cu Kα (λ = 1.5418 Å)), based on a DFT-relaxed cell (GGA-PBE, Alexandria).
Neutral-atom scattering factors, no anomalous dispersion.

Structural model:
Cell: 5.9612 5.9612 5.4265 Å, 90.00 90.00 90.00°
Space group P4/mbm (No. 127)
Inequivalent atoms, fractional coordinates:
1 Hf 0.1756 0.3244 0.0000 x4
2 Cd 0.1623 0.6623 0.5000 x4
3 N 0.0000 0.0000 0.0000 x2

Principal peaks in the range 10 to 80 degrees two-theta, low angle first:
Position (°2θ)  I (rel.)  (hkl)
16.33  97  0 0 1
21.08  85  1 1 0
29.98  223  2 0 0
33.01  345  0 0 2
37.59  1000  2 1 1
45.19  147  2 0 2
48.28  111  3 1 0
59.74  122  3 1 2
62.00  228  2 1 3
66.55  79  3 3 0
66.98  208  4 1 1
76.32  107  3 3 2

CoRe2Pt: simulated PXRD pattern (Cu Kα (λ = 1.5418 Å)), based on a DFT-relaxed cell (GGA-PBE, Alexandria).
Neutral-atom scattering factors, no anomalous dispersion.

Structural model:
Cell: 3.7501 3.7501 3.9726 Å, 90.00 90.00 90.00°
Space group P4/mmm (No. 123)
Inequivalent atoms, fractional coordinates:
1 Co 0.0000 0.0000 0.0000 x1
2 Re 0.0000 0.5000 0.5000 x2
3 Pt 0.5000 0.5000 0.0000 x1

Principal peaks in the range 10 to 80 degrees two-theta, low angle first:
Position (°2θ)  I (rel.)  (hkl)
22.38  39  0 0 1
23.73  87  1 0 0
32.84  78  1 0 1
33.80  28  1 1 0
40.92  1000  1 1 1
45.67  183  0 0 2
48.55  306  2 0 0
52.11  23  1 0 2
54.73  20  2 1 0
59.86  31  2 1 1
68.86  216  2 0 2
71.11  98  2 2 0

Sc7Cd6: simulated PXRD pattern (Cu Kα (λ = 1.5418 Å)), based on a DFT-relaxed cell (GGA-PBE, Alexandria).
Neutral-atom scattering factors, no anomalous dispersion.

Structural model:
Cell: 5.9884 5.9884 30.2210 Å, 90.00 90.00 120.00°
Space group R-3m (No. 166, hexagonal axes)
Inequivalent atoms, fractional coordinates:
1 Sc 0.0000 0.0000 0.0000 x3
2 Sc 0.0028 0.5014 0.4140 x18
3 Cd 0.0000 0.0000 0.1667 x6
4 Cd 0.0000 0.0000 0.3471 x6
5 Cd 0.0000 0.0000 0.4500 x6

Principal peaks in the range 10 to 80 degrees two-theta, low angle first:
Position (°2θ)  I (rel.)  (hkl)
29.84  1000  1 1 0
34.34  566  1 0 10
34.72  284  0 2 1
34.86  769  1 1 6
37.03  415  0 1 11
37.75  183  2 0 5
52.97  199  3 0 0
55.91  258  2 1 10
56.26  180  0 3 6
57.78  215  1 2 11
61.98  282  2 2 0
63.51  207  1 1 18

Ce7Ru2Pt2: simulated PXRD pattern (Cu Kα (λ = 1.5418 Å)), based on a DFT-relaxed cell (GGA-PBE, Alexandria).
Neutral-atom scattering factors, no anomalous dispersion.

Structural model:
Cell: 3.8436 15.0029 9.4984 Å, 90.00 90.00 90.00°
Space group Imm2 (No. 44)
Inequivalent atoms, fractional coordinates:
1 Ce 0.0000 0.0000 0.0000 x2
2 Ce 0.0000 0.1180 0.6049 x4
3 Ce 0.0000 0.3080 0.3866 x4
4 Ce 0.0000 0.3659 0.7570 x4
5 Ru 0.0000 0.2387 0.0685 x4
6 Pt 0.0000 0.0000 0.3414 x2
7 Pt 0.0000 0.5000 0.2642 x2

Principal peaks in the range 10 to 80 degrees two-theta, low angle first:
Position (°2θ)  I (rel.)  (hkl)
30.51  396  1 1 2
31.26  205  0 5 1
33.50  392  0 3 3
34.73  1000  1 4 1
34.98  377  1 3 2
36.78  238  1 0 3
38.75  306  1 2 3
40.78  158  0 6 2
44.25  162  1 6 1
47.30  272  2 0 0
51.46  145  0 3 5
59.20  154  2 3 3

TbPm3NdDy: simulated PXRD pattern (Cu Kα (λ = 1.5418 Å)), based on a DFT-relaxed cell (GGA-PBE, Alexandria).
Neutral-atom scattering factors, no anomalous dispersion.

Structural model:
Cell: 8.0895 5.1322 10.2422 Å, 90.00 108.51 90.00°
Space group P2_1/m (No. 11)
Inequivalent atoms, fractional coordinates:
1 Tb 0.0002 0.2500 0.1250 x2
2 Pm 0.3306 0.2500 0.4577 x2
3 Pm 0.3309 0.2500 0.9580 x2
4 Pm 0.3307 0.7500 0.2080 x2
5 Nd 0.3312 0.7500 0.7078 x2
6 Dy 0.0000 0.2500 0.6251 x2

Principal peaks in the range 10 to 80 degrees two-theta, low angle first:
Position (°2θ)  I (rel.)  (hkl)
30.22  1000  1 1 2
35.01  339  0 2 0
35.10  168  3 0 0
50.37  302  3 2 0
50.47  60  2 0 4
59.82  216  1 3 2
59.95  215  0 1 6
62.85  124  2 2 4
73.86  19  0 4 0
74.05  19  2 0 -8
74.17  19  6 0 0

Nd3In4Au2: simulated PXRD pattern (Cu Kα (λ = 1.5418 Å)), based on a DFT-relaxed cell (GGA-PBE, Alexandria).
Neutral-atom scattering factors, no anomalous dispersion.

Structural model:
Cell: 11.4500 4.8555 9.2242 Å, 90.00 114.52 90.00°
Space group C2/m (No. 12)
Inequivalent atoms, fractional coordinates:
1 Nd 0.0000 0.0000 0.0000 x2
2 Nd 0.1770 0.5000 0.6484 x4
3 In 0.0260 0.0000 0.3600 x4
4 In 0.2371 0.5000 0.0794 x4
5 Au 0.0993 0.5000 0.2705 x4

Principal peaks in the range 10 to 80 degrees two-theta, low angle first:
Position (°2θ)  I (rel.)  (hkl)
31.46  340  4 0 -1
31.68  648  3 1 0
31.96  973  1 1 2
36.81  1000  3 1 -3
37.03  525  0 2 0
48.16  174  4 0 2
49.36  194  4 2 -1
49.71  251  2 0 -5
62.27  178  4 2 2
62.62  217  1 1 5
63.55  181  1 3 2
66.56  235  3 3 -3

Nd3Sm2Tl: simulated PXRD pattern (Cu Kα (λ = 1.5418 Å)), based on a DFT-relaxed cell (GGA-PBE, Alexandria).
Neutral-atom scattering factors, no anomalous dispersion.

Structural model:
Cell: 17.5511 6.9210 6.6128 Å, 90.00 99.31 90.00°
Space group C2/c (No. 15)
Inequivalent atoms, fractional coordinates:
1 Nd 0.0000 0.2317 0.2500 x4
2 Nd 0.1673 0.1149 0.0424 x8
3 Sm 0.1613 0.3948 0.5749 x8
4 Tl 0.0000 0.2762 0.7500 x4

Principal peaks in the range 10 to 80 degrees two-theta, low angle first:
Position (°2θ)  I (rel.)  (hkl)
27.76  446  2 2 0
29.21  252  0 2 1
30.26  548  2 2 -1
30.81  940  2 0 2
30.98  1000  6 0 0
31.55  908  4 0 -2
31.77  487  2 2 1
33.14  300  4 2 0
34.61  316  4 2 -1
37.27  308  4 2 1
37.90  222  0 2 2
49.70  217  8 2 -1

Li2Ga3Ag5: simulated PXRD pattern (Cu Kα (λ = 1.5418 Å)), based on a DFT-relaxed cell (GGA-PBE, Alexandria).
Neutral-atom scattering factors, no anomalous dispersion.

Structural model:
Cell: 9.5531 13.0819 5.5407 Å, 90.00 93.76 90.00°
Space group C2/c (No. 15)
Inequivalent atoms, fractional coordinates:
1 Li 0.1252 0.2457 0.1229 x8
2 Ga 0.0000 0.4590 0.2500 x4
3 Ga 0.1252 0.1461 0.6222 x8
4 Ag 0.0000 0.0464 0.2500 x4
5 Ag 0.1217 0.3435 0.6110 x8
6 Ag 0.2436 0.4535 0.0109 x8

Principal peaks in the range 10 to 80 degrees two-theta, low angle first:
Position (°2θ)  I (rel.)  (hkl)
13.54  499  0 2 0
20.26  286  1 1 1
28.05  170  1 3 1
32.30  488  3 1 -1
37.84  321  3 3 -1
38.71  538  2 0 2
39.09  382  2 2 -2
39.52  1000  1 5 1
40.28  355  4 2 0
46.14  201  2 4 -2
47.19  190  4 4 0
70.61  162  3 5 3

Cs2KBeP2: simulated PXRD pattern (Cu Kα (λ = 1.5418 Å)), based on a DFT-relaxed cell (GGA-PBE, Alexandria).
Neutral-atom scattering factors, no anomalous dispersion.

Structural model:
Cell: 7.2581 20.8485 7.1885 Å, 90.00 90.00 90.00°
Space group Ibam (No. 72)
Inequivalent atoms, fractional coordinates:
1 Cs 0.1978 0.1443 0.0000 x8
2 K 0.0000 0.5000 0.2500 x4
3 Be 0.0000 0.0000 0.2500 x4
4 P 0.1378 0.0322 0.5000 x8

Principal peaks in the range 10 to 80 degrees two-theta, low angle first:
Position (°2θ)  I (rel.)  (hkl)
17.01  123  0 4 0
19.35  1000  1 2 1
24.40  271  1 4 1
24.77  218  0 0 2
25.64  158  0 6 0
28.03  136  1 1 2
30.00  175  2 4 0
30.20  190  0 4 2
31.13  332  1 6 1
35.11  357  2 0 2
40.58  149  1 2 3
50.62  146  0 10 2

Tm4NpRh15: simulated PXRD pattern (Cu Kα (λ = 1.5418 Å)), based on a DFT-relaxed cell (GGA-PBE, Alexandria).
Neutral-atom scattering factors, no anomalous dispersion.

Structural model:
Cell: 4.0108 4.0108 20.0923 Å, 90.00 90.00 90.00°
Space group P4/mmm (No. 123)
Inequivalent atoms, fractional coordinates:
1 Tm 0.0000 0.0000 0.1002 x2
2 Tm 0.0000 0.0000 0.3004 x2
3 Np 0.0000 0.0000 0.5000 x1
4 Rh 0.0000 0.5000 0.0000 x2
5 Rh 0.0000 0.5000 0.2003 x4
6 Rh 0.0000 0.5000 0.4052 x4
7 Rh 0.5000 0.5000 0.1003 x2
8 Rh 0.5000 0.5000 0.3000 x2
9 Rh 0.5000 0.5000 0.5000 x1

Principal peaks in the range 10 to 80 degrees two-theta, low angle first:
Position (°2θ)  I (rel.)  (hkl)
22.15  69  0 0 5
31.53  59  1 1 0
38.87  1000  1 1 5
45.19  487  2 0 0
50.87  34  2 0 5
56.13  26  1 1 10
65.82  312  2 2 0
70.35  10  0 0 15
70.42  7  2 2 5
74.86  8  3 1 0
79.06  120  1 1 15
79.19  247  3 1 5

Pm2NdSb2: simulated PXRD pattern (Cu Kα (λ = 1.5418 Å)), based on a DFT-relaxed cell (GGA-PBE, Alexandria).
Neutral-atom scattering factors, no anomalous dispersion.

Structural model:
Cell: 10.7832 12.3241 6.0988 Å, 90.00 124.37 90.00°
Space group C2/c (No. 15)
Inequivalent atoms, fractional coordinates:
1 Pm 0.1712 0.1029 0.3851 x8
2 Nd 0.0000 0.3955 0.7500 x4
3 Sb 0.0000 0.1256 0.7500 x4
4 Sb 0.0000 0.3345 0.2500 x4

Principal peaks in the range 10 to 80 degrees two-theta, low angle first:
Position (°2θ)  I (rel.)  (hkl)
19.95  312  2 0 0
25.82  365  3 1 -1
28.98  761  0 4 0
29.29  1000  2 0 -2
31.00  427  3 1 0
33.12  912  3 3 -1
34.12  394  0 4 1
36.71  675  2 2 1
41.67  518  2 4 -2
43.17  302  1 1 2
48.88  266  3 3 1
58.36  315  3 7 -1